The following is a simulated X-ray diffraction stick pattern of YTm4Pt2. It was derived from a GGA-PBE-relaxed structure, using Cu Kα (λ = 1.5418 Å).

Structure:
```
data_YTm4Pt2
_space_group_name_H-M_alt 'P 1 21/m 1'
_space_group_IT_number 11
_cell_length_a 7.748
_cell_length_b 6.293
_cell_length_c 7.950
_cell_angle_alpha 90.00
_cell_angle_beta 112.32
_cell_angle_gamma 90.00
loop_
_space_group_symop_operation_xyz
'x,y,z'
'-x,-y,-z'
'-x,y+1/2,-z'
'x,-y+1/2,z'
loop_
_atom_site_label
_atom_site_type_symbol
_atom_site_fract_x
_atom_site_fract_y
_atom_site_fract_z
Y1 Y 0.152 0.250 0.022
Tm1 Tm 0.017 0.250 0.387
Tm2 Tm 0.252 0.750 0.346
Tm3 Tm 0.410 0.004 0.767
Pt1 Pt 0.253 0.750 0.990
Pt2 Pt 0.377 0.250 0.417
```

Peak list (12 most intense, 2θ = 15–90°, low angle first)
two_theta  I (rel.)
28.36  45
30.90  48
31.27  58
31.60  100
33.85  41
34.80  100
35.67  62
36.59  74
36.89  99
37.63  97
39.05  45
40.38  53